Diffraction record for Mg6NbGa. The powder X-ray diffraction pattern is simulated, not measured: it uses the GGA-PBE geometry in the Materials Project and λ = 1.5418 Å (Cu Kα).
Peak positions follow from Bragg's law for the DFT cell and can differ from measured ones.

Crystal structure
a = 4.969 Å, b = 6.251 Å, c = 6.251 Å
α = 56.85°, β = 90.00°, γ = 90.00°
Element x y z (fractional)
Mg  0.000  0.000  0.000
Mg  0.000  0.016  0.500
Mg  0.000  0.500  0.016
Mg  0.000  0.500  0.500
Mg  0.500  0.348  0.846
Mg  0.500  0.846  0.348
Nb  0.500  0.348  0.348
Ga  0.500  0.843  0.843

Principal peaks in the range 2θ from 15° to 90°, by angle:
d (Å)	2theta	I (rel.)
5.497	16.12	437
4.969	17.85	321
3.686	24.14	290
2.617	34.27	379
2.484	36.16	417
2.405	37.39	649
2.315	38.90	1000
1.802	50.67	242


Diffraction record for BiSb3F20. The powder X-ray diffraction pattern is simulated, not measured: it uses the GGA-PBE geometry in the Materials Project and λ = 1.5418 Å (Cu Kα).
Peak positions follow from Bragg's law for the DFT cell and can differ from measured ones.

Crystal structure
a = 9.004 Å, b = 9.004 Å, c = 5.621 Å
α = 91.13°, β = 91.13°, γ = 110.89°
Element x y z (fractional)
Bi  0.000  0.000  0.000
Sb  0.046  0.457  0.758
Sb  0.543  0.954  0.242
Sb  0.596  0.404  0.000
F  0.002  0.235  0.881
F  0.053  0.658  0.660
F  0.082  0.124  0.305
F  0.113  0.525  0.073
F  0.212  0.044  0.854
F  0.246  0.465  0.659
F  0.342  0.947  0.340
F  0.397  0.368  0.131
F  0.475  0.887  0.927
F  0.516  0.292  0.713
F  0.535  0.754  0.341
F  0.587  0.183  0.117
F  0.632  0.603  0.869
F  0.653  0.066  0.516
F  0.708  0.484  0.287
F  0.765  0.998  0.119
F  0.817  0.413  0.883
F  0.876  0.918  0.695
F  0.934  0.347  0.484
F  0.956  0.788  0.146

Principal peaks in the range 2θ from 15° to 90°, by angle:
d (Å)	2theta	I (rel.)
5.617	15.78	432
4.610	19.25	543
4.478	19.83	289
4.450	19.95	268
4.205	21.13	1000
3.710	23.99	258
3.514	25.35	585
2.094	43.20	378


Diffraction record for YAgSn2. The powder X-ray diffraction pattern is simulated, not measured: it uses the GGA-PBE geometry in the Materials Project and λ = 1.5418 Å (Cu Kα).
Peak positions follow from Bragg's law for the DFT cell and can differ from measured ones.

Crystal structure
a = 4.653 Å, b = 4.653 Å, c = 4.432 Å
α = 90.00°, β = 90.00°, γ = 90.00°
Element x y z (fractional)
Y  0.000  0.000  0.000
Ag  0.500  0.500  0.000
Sn  0.000  0.500  0.500
Sn  0.500  0.000  0.500

Principal peaks in the range 2θ from 15° to 90°, by angle:
d (Å)	2theta	I (rel.)
2.642	33.93	1000
2.327	38.70	349
2.216	40.72	151
1.645	55.89	119
1.605	57.43	220
1.397	67.01	277
1.348	69.79	123
1.321	71.41	116


Diffraction record for B13P. The powder X-ray diffraction pattern is simulated, not measured: it uses the GGA-PBE geometry in the Materials Project and λ = 1.5418 Å (Cu Kα).
Peak positions follow from Bragg's law for the DFT cell and can differ from measured ones.

Crystal structure
a = 5.185 Å, b = 5.185 Å, c = 5.185 Å
α = 68.49°, β = 68.49°, γ = 68.49°
Element x y z (fractional)
B  0.052  0.052  0.052
B  0.315  0.627  0.627
B  0.333  0.834  0.834
B  0.452  0.452  0.928
B  0.452  0.928  0.452
B  0.627  0.315  0.627
B  0.627  0.627  0.315
B  0.649  0.649  0.966
B  0.649  0.966  0.649
B  0.834  0.333  0.834
B  0.834  0.834  0.333
B  0.928  0.452  0.452
B  0.966  0.649  0.649
P  0.219  0.219  0.219

Principal peaks in the range 2θ from 15° to 90°, by angle:
d (Å)	2theta	I (rel.)
3.841	23.16	1000
2.917	30.64	209
2.551	35.18	549
2.471	36.36	923
2.345	38.39	253
1.633	56.34	195
1.486	62.51	307
1.459	63.81	172


Diffraction record for CrTe. The powder X-ray diffraction pattern is simulated, not measured: it uses the GGA-PBE geometry in the Materials Project and λ = 1.5418 Å (Cu Kα).
Peak positions follow from Bragg's law for the DFT cell and can differ from measured ones.

Crystal structure
a = 4.137 Å, b = 4.137 Å, c = 6.329 Å
α = 90.00°, β = 90.00°, γ = 120.00°
Element x y z (fractional)
Cr  0.000  0.000  0.000
Cr  0.000  0.000  0.500
Te  0.333  0.667  0.250
Te  0.667  0.333  0.750

Principal peaks in the range 2θ from 15° to 90°, by angle:
d (Å)	2theta	I (rel.)
3.118	28.63	1000
2.372	37.94	544
2.068	43.77	423
1.818	50.18	209
1.724	53.14	176
1.559	59.28	137
1.324	71.21	144
1.257	75.68	156


Diffraction record for Nd3Si2S8I. The powder X-ray diffraction pattern is simulated, not measured: it uses the GGA-PBE geometry in the Materials Project and λ = 1.5418 Å (Cu Kα).
Peak positions follow from Bragg's law for the DFT cell and can differ from measured ones.

Crystal structure
a = 8.927 Å, b = 8.927 Å, c = 10.883 Å
α = 97.31°, β = 97.31°, γ = 52.31°
Element x y z (fractional)
Nd  0.100  0.900  0.750
Nd  0.177  0.424  0.319
Nd  0.424  0.177  0.819
Nd  0.576  0.823  0.181
Nd  0.823  0.576  0.681
Nd  0.900  0.100  0.250
Si  0.122  0.197  0.029
Si  0.197  0.122  0.529
Si  0.803  0.878  0.471
Si  0.878  0.803  0.971
S  0.051  0.248  0.837
S  0.087  0.777  0.458
S  0.101  0.610  0.853
S  0.213  0.351  0.586
S  0.223  0.913  0.042
S  0.248  0.051  0.337
S  0.351  0.213  0.086
S  0.390  0.899  0.647
S  0.610  0.101  0.353
S  0.649  0.787  0.914
S  0.752  0.949  0.663
S  0.777  0.087  0.958
S  0.787  0.649  0.414
S  0.899  0.390  0.147
S  0.913  0.223  0.542
S  0.949  0.752  0.163
I  0.486  0.514  0.250
I  0.514  0.486  0.750

Principal peaks in the range 2θ from 15° to 90°, by angle:
d (Å)	2theta	I (rel.)
5.386	16.46	1000
3.907	22.76	393
3.696	24.08	689
3.435	25.94	535
3.038	29.40	369
2.772	32.30	771
2.351	38.28	376
2.320	38.82	391


What did the first record say?
Diffraction record for Mg6NbGa. The powder X-ray diffraction pattern is simulated, not measured: it uses the GGA-PBE geometry in the Materials Project and λ = 1.5418 Å (Cu Kα).
Peak positions follow from Bragg's law for the DFT cell and can differ from measured ones.

Crystal structure
a = 4.969 Å, b = 6.251 Å, c = 6.251 Å
α = 56.85°, β = 90.00°, γ = 90.00°
Element x y z (fractional)
Mg  0.000  0.000  0.000
Mg  0.000  0.016  0.500
Mg  0.000  0.500  0.016
Mg  0.000  0.500  0.500
Mg  0.500  0.348  0.846
Mg  0.500  0.846  0.348
Nb  0.500  0.348  0.348
Ga  0.500  0.843  0.843

Principal peaks in the range 2θ from 15° to 90°, by angle:
d (Å)	2theta	I (rel.)
5.497	16.12	437
4.969	17.85	321
3.686	24.14	290
2.617	34.27	379
2.484	36.16	417
2.405	37.39	649
2.315	38.90	1000
1.802	50.67	242